1.
This entry pairs a crystal structure of In3Ni with its computed powder X-ray diffraction pattern. Radiation: a wavelength of 1.5418 Å. Structure: a crystal structure in the Materials Project, relaxed with GGA-PBE.

Crystal structure
```
data_In3Ni
_chemical_formula_sum 'In3 Ni1'
_symmetry_space_group_name_H-M 'P m -3 m'
_symmetry_Int_Tables_number 221
_symmetry_space_group_name_Hall '-P 4 2 3'
_cell_length_a 4.4226
_cell_length_b 4.4226
_cell_length_c 4.4226
_cell_angle_alpha 90.00
_cell_angle_beta 90.00
_cell_angle_gamma 90.00
loop_
_atom_site_label
_atom_site_type_symbol
_atom_site_fract_x
_atom_site_fract_y
_atom_site_fract_z
In1 In 0.0000 0.0000 0.5000
Ni1 Ni 0.5000 0.5000 0.5000
```

Most intense lines, 2θ from 5° to 70°, sorted by position:
two_theta  I (rel.)  hkl
20.1  46  1 0 0
28.5  40  1 1 0
35.1  1000  1 1 1
40.8  491  2 0 0
45.9  22  2 1 0
59.1  317  2 2 0

2.
This entry pairs a crystal structure of In9Ni13 with its computed powder X-ray diffraction pattern. Radiation: a wavelength of 1.5418 Å. Structure: a crystal structure in the Materials Project, relaxed with GGA-PBE.

Crystal structure
```
data_In9Ni13
_chemical_formula_sum 'In18 Ni26'
_symmetry_space_group_name_H-M 'C 1 2/m 1'
_symmetry_Int_Tables_number 12
_cell_length_a 10.5267
_cell_length_b 8.4580
_cell_length_c 9.0820
_cell_angle_alpha 90.00
_cell_angle_beta 125.29
_cell_angle_gamma 90.00
loop_
_symmetry_equiv_pos_as_xyz
'x,y,z'
'-x,-y,-z'
'-x,y,-z'
'x,-y,z'
'x+1/2,y+1/2,z'
'-x+1/2,-y+1/2,-z'
'-x+1/2,y+1/2,-z'
'x+1/2,-y+1/2,z'
loop_
_atom_site_label
_atom_site_type_symbol
_atom_site_fract_x
_atom_site_fract_y
_atom_site_fract_z
In1 In 0.0000 0.0000 0.0000
In2 In 0.0415 0.2895 0.8099
In3 In 0.1722 0.5000 0.6143
In4 In 0.2148 0.0000 0.6678
Ni1 Ni 0.0000 0.2336 0.5000
Ni2 Ni 0.0000 0.5000 0.0000
Ni3 Ni 0.0447 0.0000 0.3229
Ni4 Ni 0.1945 0.2405 0.1592
Ni5 Ni 0.2414 0.0000 0.9795
Ni6 Ni 0.2500 0.2500 0.5000
```

Most intense lines, 2θ from 5° to 70°, sorted by position:
two_theta  I (rel.)  hkl
29.7  299  2 2 -2
42.1  484  4 0 -4
42.2  1000  4 2 -1
42.4  960  0 2 3
42.8  461  0 4 0
61.6  217  4 4 -4

3.
This entry pairs a crystal structure of InNi4 with its computed powder X-ray diffraction pattern. Radiation: a wavelength of 1.5418 Å. Structure: a crystal structure in the Materials Project, relaxed with GGA-PBE.

Crystal structure
```
data_InNi4
_chemical_formula_sum 'In2 Ni8'
_symmetry_space_group_name_H-M 'I 4/m m m'
_symmetry_Int_Tables_number 139
_symmetry_space_group_name_Hall '-I 4 2'
_cell_length_a 2.9815
_cell_length_b 2.9815
_cell_length_c 14.2091
_cell_angle_alpha 90.00
_cell_angle_beta 90.00
_cell_angle_gamma 90.00
loop_
_atom_site_label
_atom_site_type_symbol
_atom_site_fract_x
_atom_site_fract_y
_atom_site_fract_z
In1 In 0.0000 0.0000 0.0000
Ni1 Ni 0.0000 0.0000 0.2072
Ni2 Ni 0.0000 0.0000 0.3833
```

Most intense lines, 2θ from 5° to 70°, sorted by position:
two_theta  I (rel.)  hkl
30.6  64  1 0 1
35.6  144  1 0 3
42.9  606  1 1 0
44.0  1000  1 0 5
62.3  187  2 0 0
69.2  53  1 1 8

4.
This entry pairs a crystal structure of In3Ni7 with its computed powder X-ray diffraction pattern. Radiation: a wavelength of 1.5418 Å. Structure: a crystal structure in the Materials Project, relaxed with GGA-PBE.

Crystal structure
```
data_In3Ni7
_chemical_formula_sum 'In12 Ni28'
_symmetry_space_group_name_H-M 'P -1'
_symmetry_Int_Tables_number 2
_cell_length_a 6.5471
_cell_length_b 8.9415
_cell_length_c 9.8113
_cell_angle_alpha 106.83
_cell_angle_beta 96.98
_cell_angle_gamma 90.29
loop_
_symmetry_equiv_pos_as_xyz
'x,y,z'
'-x,-y,-z'
loop_
_atom_site_label
_atom_site_type_symbol
_atom_site_fract_x
_atom_site_fract_y
_atom_site_fract_z
In1 In 0.0270 0.1351 0.3756
In2 In 0.1201 0.4968 0.3659
In3 In 0.1757 0.6631 0.1045
In4 In 0.2896 0.0285 0.0545
In5 In 0.3474 0.2327 0.8136
In6 In 0.4355 0.7878 0.4852
Ni1 Ni 0.0241 0.0856 0.8637
Ni2 Ni 0.0470 0.8006 0.3486
Ni3 Ni 0.0561 0.7890 0.8638
Ni4 Ni 0.1689 0.5017 0.8374
Ni5 Ni 0.2012 0.3556 0.0626
Ni6 Ni 0.2260 0.3542 0.5814
Ni7 Ni 0.2576 0.0421 0.5624
Ni8 Ni 0.2578 0.6439 0.6645
Ni9 Ni 0.3456 0.9231 0.7736
Ni10 Ni 0.3510 0.9557 0.2995
Ni11 Ni 0.3597 0.2640 0.2840
Ni12 Ni 0.4286 0.7339 0.9164
Ni13 Ni 0.4721 0.5166 0.2497
Ni14 Ni 0.5000 0.5000 0.0000
Ni15 Ni 0.5000 0.5000 0.5000
```

Most intense lines, 2θ from 5° to 70°, sorted by position:
two_theta  I (rel.)  hkl
42.8  931  -1 3 2
42.9  912  1 0 4
43.1  1000  2 3 0
43.2  893  2 -3 2
43.5  974  1 3 -4
43.7  627  2 1 -4